[1]
The following is a theoretical powder diffractogram of Re28Ni. It was derived from a GGA-PBE-relaxed structure, using λ = 1.5418 Å (Cu Kα).
Lines closer than 0.1° are merged.

Cell and atoms:
```
data_Re28Ni
_cell_length_a 9.5656
_cell_length_b 9.5656
_cell_length_c 9.5656
_cell_angle_alpha 90.00
_cell_angle_beta 90.00
_cell_angle_gamma 90.00
_space_group_name_H-M_alt 'I -4 3 m'
_space_group_IT_number 217
_space_group_name_Hall 'I -4 2 3'
loop_
_atom_site_label
_atom_site_type_symbol
_atom_site_fract_x
_atom_site_fract_y
_atom_site_fract_z
Re1 Re 0.0414 0.3578 0.6422
Re2 Re 0.0895 0.0895 0.7173
Re3 Re 0.1775 0.1775 0.1775
Ni1 Ni 0.0000 0.0000 0.0000
```

Most intense lines, 10° ≤ 2θ ≤ 90°, by angle:
- 37.61 deg, intensity 8, hkl 4 0 0
- 39.99 deg, intensity 100, hkl 4 1 1
- 44.42 deg, intensity 29, hkl 3 3 2
- 46.51 deg, intensity 9, hkl 4 2 2
- 48.53 deg, intensity 21, hkl 4 3 1
- 67.89 deg, intensity 6, hkl 4 4 4
- 69.48 deg, intensity 8, hkl 5 5 0
- 72.63 deg, intensity 27, hkl 7 2 1
- 74.18 deg, intensity 7, hkl 6 4 2
- 86.29 deg, intensity 9, hkl 6 6 0

***

[2]
The following is a theoretical powder diffractogram of Re13Ni2. It was derived from a GGA-PBE-relaxed structure, using λ = 1.5418 Å (Cu Kα).
Lines closer than 0.1° are merged.

Cell and atoms:
```
data_Re13Ni2
_cell_length_a 9.5015
_cell_length_b 9.5015
_cell_length_c 4.9077
_cell_angle_alpha 90.00
_cell_angle_beta 90.00
_cell_angle_gamma 90.00
_space_group_name_H-M_alt 'P 42/m n m'
_space_group_IT_number 136
_space_group_name_Hall '-P 4n 2n'
loop_
_atom_site_label
_atom_site_type_symbol
_atom_site_fract_x
_atom_site_fract_y
_atom_site_fract_z
Re1 Re 0.0000 0.0000 0.0000
Re2 Re 0.0357 0.3670 0.5000
Re3 Re 0.0672 0.2582 0.0000
Re4 Re 0.1810 0.8190 0.2531
Ni1 Ni 0.0920 0.0920 0.5000
```

Most intense lines, 10° ≤ 2θ ≤ 90°, by angle:
- 20.37 deg, intensity 20, hkl 1 0 1
- 39.09 deg, intensity 100, hkl 4 1 0
- 40.27 deg, intensity 45, hkl 3 3 0
- 41.42 deg, intensity 35, hkl 2 0 2
- 42.54 deg, intensity 63, hkl 2 1 2
- 43.38 deg, intensity 93, hkl 4 1 1
- 44.47 deg, intensity 43, hkl 3 3 1
- 47.86 deg, intensity 22, hkl 3 1 2
- 69.21 deg, intensity 20, hkl 5 3 2
- 70.61 deg, intensity 22, hkl 4 1 3